No. 1
Starting from a cell relaxed with PBE, the powder diffraction line list of U2Br4O3 was calculated for copper Kα.
No peak broadening, texture or thermal motion is included.

Largest 6 diffraction maxima, by intensity, 2θ = 10–90°:
22.0 deg, d 4.049, rel. 1000; 23.3 deg, d 3.813, rel. 978; 22.1 deg, d 4.017, rel. 857; 29.8 deg, d 3.002, rel. 775; 16.8 deg, d 5.266, rel. 543; 33.0 deg, d 2.715, rel. 528

Structure:
```
data_U2Br4O3
_chemical_formula_sum 'U2 Br4 O3'
_cell_length_a 4.1405
_cell_length_b 7.8099
_cell_length_c 9.3467
_cell_angle_alpha 77.80
_cell_angle_beta 78.22
_cell_angle_gamma 89.97
_space_group_name_H-M_alt 'P -1'
_space_group_IT_number 2
_space_group_name_Hall '-P 1'
loop_
_atom_site_label
_atom_site_type_symbol
_atom_site_fract_x
_atom_site_fract_y
_atom_site_fract_z
U1 U 0.0453 0.2651 0.4027
Br1 Br 0.0899 0.6450 0.3052
Br2 Br 0.1757 0.2226 0.1212
O1 O 0.0000 0.0000 0.5000
O2 O 0.4569 0.7264 0.5926
```

No. 2
Starting from a cell relaxed with PBE, the powder diffraction line list of YBi15O24 was calculated for copper Kα.
No peak broadening, texture or thermal motion is included.

Largest 6 diffraction maxima, by intensity, 2θ = 10–90°:
27.9 deg, d 3.198, rel. 1000; 32.1 deg, d 2.789, rel. 557; 26.9 deg, d 3.318, rel. 536; 27.4 deg, d 3.257, rel. 501; 45.2 deg, d 2.005, rel. 303; 31.5 deg, d 2.844, rel. 294

Structure:
```
data_YBi15O24
_chemical_formula_sum 'Y1 Bi15 O24'
_cell_length_a 8.0571
_cell_length_b 7.7334
_cell_length_c 11.3766
_cell_angle_alpha 90.00
_cell_angle_beta 91.13
_cell_angle_gamma 90.00
_space_group_name_H-M_alt 'P 1 m 1'
_space_group_IT_number 6
_space_group_name_Hall 'P -2y'
loop_
_atom_site_label
_atom_site_type_symbol
_atom_site_fract_x
_atom_site_fract_y
_atom_site_fract_z
Y1 Y 0.0000 0.0000 0.0000
Bi1 Bi 0.0286 0.0000 0.5028
Bi2 Bi 0.0578 0.5000 0.5103
Bi3 Bi 0.0689 0.5000 0.0171
Bi4 Bi 0.2651 0.2506 0.2649
Bi5 Bi 0.2806 0.2527 0.7690
Bi6 Bi 0.5282 0.5000 0.5282
Bi7 Bi 0.5347 0.5000 0.0317
Bi8 Bi 0.5441 0.0000 0.0242
Bi9 Bi 0.5595 0.0000 0.5226
Bi10 Bi 0.7675 0.2435 0.2639
Bi11 Bi 0.7788 0.2458 0.7669
O1 O 0.0044 0.2966 0.3728
O2 O 0.0211 0.2671 0.8801
O3 O 0.1087 0.2053 0.1146
O4 O 0.1186 0.2084 0.6188
O5 O 0.2708 0.5000 0.1825
O6 O 0.2836 0.5000 0.6859
O7 O 0.2967 0.5000 0.4300
O8 O 0.3044 0.5000 0.9308
O9 O 0.4964 0.2050 0.1561
O10 O 0.5162 0.2021 0.6607
O11 O 0.6093 0.2920 0.4118
O12 O 0.6226 0.2948 0.9159
O13 O 0.7787 0.0000 0.3526
O14 O 0.7814 0.0000 0.1090
O15 O 0.7846 0.0000 0.8522
O16 O 0.8042 0.0000 0.6051
```

No. 3
Starting from a cell relaxed with PBE, the powder diffraction line list of La2CuAg5 was calculated for copper Kα.
No peak broadening, texture or thermal motion is included.

Largest 6 diffraction maxima, by intensity, 2θ = 10–90°:
33.3 deg, d 2.687, rel. 1000; 31.3 deg, d 2.855, rel. 873; 34.2 deg, d 2.624, rel. 863; 40.5 deg, d 2.229, rel. 540; 42.2 deg, d 2.140, rel. 288; 44.8 deg, d 2.022, rel. 237

Structure:
```
data_La2CuAg5
_chemical_formula_sum 'La8 Cu4 Ag20'
_cell_length_a 4.4576
_cell_length_b 16.8355
_cell_length_c 9.9256
_cell_angle_alpha 90.00
_cell_angle_beta 90.00
_cell_angle_gamma 90.00
_space_group_name_H-M_alt 'C m c m'
_space_group_IT_number 63
_space_group_name_Hall '-C 2c 2'
loop_
_atom_site_label
_atom_site_type_symbol
_atom_site_fract_x
_atom_site_fract_y
_atom_site_fract_z
La1 La 0.0000 0.0000 0.0000
La2 La 0.0000 0.1944 0.2500
Cu1 Cu 0.0000 0.4448 0.7500
Ag1 Ag 0.0000 0.1894 0.6102
Ag2 Ag 0.0000 0.3580 0.5313
Ag3 Ag 0.0000 0.4005 0.2500
```

No. 4
Starting from a cell relaxed with PBE, the powder diffraction line list of LiMg14BO15 was calculated for copper Kα.
No peak broadening, texture or thermal motion is included.

Largest 6 diffraction maxima, by intensity, 2θ = 10–90°:
42.2 deg, d 2.144, rel. 1000; 61.9 deg, d 1.500, rel. 455; 43.1 deg, d 2.098, rel. 400; 61.1 deg, d 1.516, rel. 273; 77.7 deg, d 1.229, rel. 203; 36.6 deg, d 2.458, rel. 163

Structure:
```
data_LiMg14BO15
_chemical_formula_sum 'Li1 Mg14 B1 O15'
_cell_length_a 4.2857
_cell_length_b 8.3926
_cell_length_c 8.5796
_cell_angle_alpha 90.00
_cell_angle_beta 90.00
_cell_angle_gamma 90.00
_space_group_name_H-M_alt 'P m m 2'
_space_group_IT_number 25
_space_group_name_Hall 'P 2 -2'
loop_
_atom_site_label
_atom_site_type_symbol
_atom_site_fract_x
_atom_site_fract_y
_atom_site_fract_z
Li1 Li 0.0000 0.0000 0.0000
Mg1 Mg 0.0000 0.0000 0.5006
Mg2 Mg 0.0000 0.2426 0.2339
Mg3 Mg 0.0000 0.2646 0.7489
Mg4 Mg 0.0000 0.5000 0.9930
Mg5 Mg 0.5000 0.0000 0.2393
Mg6 Mg 0.5000 0.0000 0.7450
Mg7 Mg 0.5000 0.2440 0.9920
Mg8 Mg 0.5000 0.2648 0.4911
Mg9 Mg 0.5000 0.5000 0.2410
Mg10 Mg 0.5000 0.5000 0.7366
B1 B 0.0000 0.5000 0.4321
O1 O 0.0000 0.0000 0.2650
O2 O 0.0000 0.2536 0.9967
O3 O 0.0000 0.3292 0.4830
O4 O 0.0000 0.5000 0.2590
O5 O 0.0000 0.5000 0.7637
O6 O 0.5000 0.0000 0.4917
O7 O 0.5000 0.0000 0.9899
O8 O 0.5000 0.2488 0.2445
O9 O 0.5000 0.2517 0.7378
O10 O 0.5000 0.5000 0.0025
O11 O 0.5000 0.5000 0.4794
```

No. 5
Starting from a cell relaxed with PBE, the powder diffraction line list of Al2Se3 was calculated for copper Kα.
No peak broadening, texture or thermal motion is included.

Largest 6 diffraction maxima, by intensity, 2θ = 10–90°:
28.0 deg, d 3.185, rel. 1000; 29.6 deg, d 3.014, rel. 979; 25.9 deg, d 3.443, rel. 959; 29.8 deg, d 3.003, rel. 873; 29.2 deg, d 3.055, rel. 833; 45.8 deg, d 1.979, rel. 703

Structure:
```
data_Al2Se3
_chemical_formula_sum 'Al8 Se12'
_cell_length_a 11.9540
_cell_length_b 6.8426
_cell_length_c 7.4338
_cell_angle_alpha 90.00
_cell_angle_beta 121.03
_cell_angle_gamma 90.00
_space_group_name_H-M_alt 'C 1 c 1'
_space_group_IT_number 9
_space_group_name_Hall 'C -2yc'
loop_
_atom_site_label
_atom_site_type_symbol
_atom_site_fract_x
_atom_site_fract_y
_atom_site_fract_z
Al1 Al 0.0000 0.0641 0.0000
Al2 Al 0.1592 0.4037 0.4868
Se1 Se 0.0286 0.4135 0.1013
Se2 Se 0.2021 0.0896 0.6301
Se3 Se 0.3622 0.4094 0.1141
```

No. 6
Starting from a cell relaxed with PBE, the powder diffraction line list of TaFeN was calculated for copper Kα.
No peak broadening, texture or thermal motion is included.

Largest 6 diffraction maxima, by intensity, 2θ = 10–90°:
42.2 deg, d 2.140, rel. 1000; 38.4 deg, d 2.341, rel. 927; 37.8 deg, d 2.382, rel. 863; 23.6 deg, d 3.775, rel. 487; 38.7 deg, d 2.329, rel. 466; 48.9 deg, d 1.862, rel. 341

Structure:
```
data_TaFeN
_chemical_formula_sum 'Ta4 Fe4 N4'
_cell_length_a 6.1413
_cell_length_b 7.5504
_cell_length_c 2.9847
_cell_angle_alpha 90.00
_cell_angle_beta 90.00
_cell_angle_gamma 90.00
_space_group_name_H-M_alt 'C m m m'
_space_group_IT_number 65
_space_group_name_Hall '-C 2 2'
loop_
_atom_site_label
_atom_site_type_symbol
_atom_site_fract_x
_atom_site_fract_y
_atom_site_fract_z
Ta1 Ta 0.0000 0.2089 0.0000
Fe1 Fe 0.1989 0.5000 0.5000
N1 N 0.2500 0.2500 0.5000
```

No. 7
Starting from a cell relaxed with PBE, the powder diffraction line list of Ba2YbB2ClO6 was calculated for copper Kα.
No peak broadening, texture or thermal motion is included.

Largest 6 diffraction maxima, by intensity, 2θ = 10–90°:
28.7 deg, d 3.108, rel. 1000; 21.5 deg, d 4.131, rel. 659; 23.4 deg, d 3.808, rel. 334; 33.4 deg, d 2.685, rel. 324; 42.7 deg, d 2.116, rel. 240; 25.9 deg, d 3.438, rel. 234

Structure:
```
data_Ba2YbB2ClO6
_chemical_formula_sum 'Ba4 Yb2 B4 Cl2 O12'
_cell_length_a 6.4968
_cell_length_b 5.3704
_cell_length_c 11.4935
_cell_angle_alpha 90.00
_cell_angle_beta 95.76
_cell_angle_gamma 90.00
_space_group_name_H-M_alt 'P 1 21/m 1'
_space_group_IT_number 11
_space_group_name_Hall '-P 2yb'
loop_
_atom_site_label
_atom_site_type_symbol
_atom_site_fract_x
_atom_site_fract_y
_atom_site_fract_z
Ba1 Ba 0.0927 0.2500 0.2060
Ba2 Ba 0.3400 0.2500 0.5761
Yb1 Yb 0.3464 0.2500 0.9134
B1 B 0.2105 0.7500 0.0725
B2 B 0.3785 0.7500 0.7257
Cl1 Cl 0.1509 0.7500 0.4173
O1 O 0.0089 0.7500 0.0958
O2 O 0.2932 0.5291 0.7620
O3 O 0.3222 0.5309 0.0646
O4 O 0.4728 0.2500 0.3526
```

No. 8
Starting from a cell relaxed with PBE, the powder diffraction line list of Co2CuPd8 was calculated for copper Kα.
No peak broadening, texture or thermal motion is included.

Largest 6 diffraction maxima, by intensity, 2θ = 10–90°:
43.1 deg, d 2.099, rel. 1000; 41.1 deg, d 2.195, rel. 551; 42.2 deg, d 2.140, rel. 547; 40.3 deg, d 2.240, rel. 527; 43.5 deg, d 2.082, rel. 392; 84.1 deg, d 1.151, rel. 234

Structure:
```
data_Co2CuPd8
_chemical_formula_sum 'Co2 Cu1 Pd8'
_cell_length_a 2.7528
_cell_length_b 7.2919
_cell_length_c 8.7877
_cell_angle_alpha 73.88
_cell_angle_beta 81.01
_cell_angle_gamma 89.99
_space_group_name_H-M_alt 'P 1'
_space_group_IT_number 1
_space_group_name_Hall 'P 1'
loop_
_atom_site_label
_atom_site_type_symbol
_atom_site_fract_x
_atom_site_fract_y
_atom_site_fract_z
Co1 Co 0.0000 0.0000 0.0000
Co2 Co 0.3735 0.4150 0.2526
Cu1 Cu 0.6316 0.5939 0.7432
Pd1 Pd 0.1405 0.9093 0.7198
Pd2 Pd 0.2356 0.4829 0.5307
Pd3 Pd 0.3843 0.0618 0.2315
Pd4 Pd 0.5005 0.7054 0.9993
Pd5 Pd 0.6115 0.2228 0.7768
Pd6 Pd 0.7652 0.1681 0.4699
Pd7 Pd 0.8615 0.7170 0.2766
Pd8 Pd 0.9959 0.3623 0.0085
```